Entry 1:
Diffraction record for ZrAg4. The powder X-ray diffraction pattern is theoretical, not measured: it uses a DFT-relaxed cell (GGA-PBE, Alexandria) and a wavelength of 1.5418 Å.
Peak positions follow from Bragg's law for the DFT cell and can differ from measured ones.

Principal peaks in the range 10° ≤ 2θ ≤ 90°, sorted by position:
Position (°2θ)  Rel. int.  (hkl)
36.91  100.0  1 0 5
41.90  16.8  0 0 10
43.37  31.6  1 1 0
61.88  20.0  1 1 10
73.25  11.3  1 0 15
75.32  22.8  2 1 5

Crystal structure
Lattice parameters (Å, degrees): 2.9505 2.9505 21.5624 90.00 90.00 90.00
Space group I4/mmm (No. 139)
Symmetry-distinct sites (fractional):
Zr1 0.0000 0.0000 0.0000 x2
Ag1 0.0000 0.0000 0.2020 x4
Ag2 0.0000 0.0000 0.3954 x4

=====

Entry 2:
Diffraction record for TlP2Cl. The powder X-ray diffraction pattern is theoretical, not measured: it uses a DFT-relaxed cell (GGA-PBE, Alexandria) and a wavelength of 1.5418 Å.
Peak positions follow from Bragg's law for the DFT cell and can differ from measured ones.

Principal peaks in the range 10° ≤ 2θ ≤ 90°, sorted by position:
Position (°2θ)  Rel. int.  (hkl)
14.62  98.8  2 0 0
17.92  90.8  0 0 1
27.41  44.3  1 1 0
29.48  55.9  4 0 0
32.37  100.0  1 1 -1
40.72  37.9  3 1 1

Crystal structure
Lattice parameters (Å, degrees): 12.2376 3.3776 4.9995 90.00 98.01 90.00
Space group C2/m (No. 12)
Symmetry-distinct sites (fractional):
Tl1 0.0000 0.0000 0.0000 x2
P1 0.2327 0.0000 0.1315 x4
Cl1 0.0000 0.5000 0.5000 x2

=====

Entry 3:
Diffraction record for Tb7DyTl4. The powder X-ray diffraction pattern is theoretical, not measured: it uses a DFT-relaxed cell (GGA-PBE, Alexandria) and a wavelength of 1.5418 Å.
Peak positions follow from Bragg's law for the DFT cell and can differ from measured ones.

Principal peaks in the range 10° ≤ 2θ ≤ 90°, sorted by position:
Position (°2θ)  Rel. int.  (hkl)
29.49  46.3  4 0 -3
29.97  41.0  1 1 2
30.83  100.0  0 2 0
32.09  56.5  0 0 3
34.60  81.8  5 1 -1
43.18  33.4  4 2 -3

Crystal structure
Lattice parameters (Å, degrees): 14.9624 5.8010 9.8361 90.00 121.59 90.00
Space group C2/m (No. 12)
Symmetry-distinct sites (fractional):
Tb1 0.0000 0.0000 0.0000 x2
Tb2 0.0674 0.5000 0.4055 x4
Tb3 0.2039 0.5000 0.8793 x4
Tb4 0.2409 0.0000 0.6923 x4
Dy1 0.0000 0.5000 0.0000 x2
Tl1 0.0477 0.0000 0.7132 x4
Tl2 0.1854 0.0000 0.3369 x4

=====

Entry 4:
Diffraction record for InSnPb3. The powder X-ray diffraction pattern is theoretical, not measured: it uses a DFT-relaxed cell (GGA-PBE, Alexandria) and a wavelength of 1.5418 Å.
Peak positions follow from Bragg's law for the DFT cell and can differ from measured ones.

Principal peaks in the range 10° ≤ 2θ ≤ 90°, sorted by position:
Position (°2θ)  Rel. int.  (hkl)
29.77  67.2  0 2 0
30.33  63.2  4 0 -2
33.33  100.0  1 1 2
34.15  93.0  5 1 0
43.01  49.6  4 2 -2
55.14  24.4  1 3 2

Crystal structure
Lattice parameters (Å, degrees): 15.3849 6.0022 6.9219 90.00 108.41 90.00
Space group C2/m (No. 12)
Symmetry-distinct sites (fractional):
In1 0.0965 0.0000 0.4545 x4
Sn1 0.2033 0.5000 0.1635 x4
Pb1 0.0025 0.5000 0.7539 x4
Pb2 0.1021 0.0000 0.9471 x4
Pb3 0.2064 0.5000 0.6468 x4

=====

Entry 5:
Diffraction record for Sr6I7Br5. The powder X-ray diffraction pattern is theoretical, not measured: it uses a DFT-relaxed cell (GGA-PBE, Alexandria) and a wavelength of 1.5418 Å.
Peak positions follow from Bragg's law for the DFT cell and can differ from measured ones.

Principal peaks in the range 10° ≤ 2θ ≤ 90°, sorted by position:
Position (°2θ)  Rel. int.  (hkl)
17.37  63.2  0 0 2
24.41  99.4  3 2 0
25.33  92.0  3 0 2
25.69  41.3  0 3 1
31.72  68.8  3 3 1
40.59  100.0  3 3 3

Crystal structure
Lattice parameters (Å, degrees): 14.5504 11.0625 10.2095 90.00 90.00 90.00
Space group Amm2 (No. 38)
Symmetry-distinct sites (fractional):
Sr1 0.0000 0.0000 0.0000 x2
Sr2 0.1653 0.0000 0.4975 x4
Sr3 0.3253 0.0000 0.9943 x4
Sr4 0.5000 0.0000 0.5233 x2
I1 0.0000 0.2008 0.4985 x4
I2 0.3327 0.2000 0.5092 x8
I3 0.5000 0.0000 0.2035 x2
Br1 0.1629 0.0000 0.8036 x4
Br2 0.1653 0.0000 0.1926 x4
Br3 0.5000 0.0000 0.8193 x2

=====

Entry 6:
Diffraction record for RbCo2C. The powder X-ray diffraction pattern is theoretical, not measured: it uses a DFT-relaxed cell (GGA-PBE, Alexandria) and a wavelength of 1.5418 Å.
Peak positions follow from Bragg's law for the DFT cell and can differ from measured ones.

Principal peaks in the range 10° ≤ 2θ ≤ 90°, sorted by position:
Position (°2θ)  Rel. int.  (hkl)
30.22  55.6  2 2 0
35.60  100.0  3 1 1
37.24  33.8  2 2 2
53.68  20.1  4 2 2
57.23  32.5  5 1 1
62.85  31.4  4 4 0

Crystal structure
Lattice parameters (Å, degrees): 8.3644 8.3644 8.3644 90.00 90.00 90.00
Space group Fd-3m (No. 227, origin choice 2)
Symmetry-distinct sites (fractional):
Rb1 0.1250 0.1250 0.1250 x8
Co1 0.0000 0.0000 0.5000 x16
C1 0.1250 0.1250 0.6250 x8